Diffraction record for CoH12Br2O14. The powder XRD pattern is computed, not measured: it uses DFT lattice parameters and positions (PBE+U) and a wavelength of 1.5418 Å.
No peak broadening, texture or thermal motion is included.

```
data_CoH12Br2O14
_chemical_formula_sum 'Co2 H24 Br4 O28'
_space_group_name_H-M_alt 'C 1 2/m 1'
_space_group_IT_number 12
_space_group_name_Hall '-C 2y'
_cell_length_a 13.5975
_cell_length_b 7.8577
_cell_length_c 6.1175
_cell_angle_alpha 90.00
_cell_angle_beta 90.02
_cell_angle_gamma 90.00
loop_
_atom_site_label
_atom_site_type_symbol
_atom_site_fract_x
_atom_site_fract_y
_atom_site_fract_z
Co1 Co 0.0000 0.0000 0.0000
H1 H 0.0329 0.3006 0.2199
H2 H 0.1341 0.1993 0.2198
H3 H 0.1669 0.1011 0.7800
Br1 Br 0.1667 0.5000 0.6769
O1 O 0.0524 0.5000 0.7712
O2 O 0.0629 0.1885 0.1988
O3 O 0.1258 0.0000 0.8013
O4 O 0.1668 0.5000 0.4085
O5 O 0.2238 0.3286 0.7716
```

The 10 most intense peaks (10° ≤ 2θ ≤ 90°), in order of falling intensity:
d [Å], 2θ (°), intensity
4.548, 19.52, 100
3.927, 22.64, 55
2.972, 30.06, 49
1.968, 46.12, 22
1.803, 50.64, 15
2.790, 32.08, 14
1.810, 50.43, 13
1.964, 46.24, 12
2.370, 37.96, 10
1.512, 61.31, 10

=====

Diffraction record for CoBr2O6. The powder XRD pattern is computed, not measured: it uses DFT lattice parameters and positions (PBE+U) and a wavelength of 1.5418 Å.
No peak broadening, texture or thermal motion is included.

```
data_CoBr2O6
_chemical_formula_sum 'Co2 Br4 O12'
_space_group_name_H-M_alt 'P 1 21/m 1'
_space_group_IT_number 11
_space_group_name_Hall '-P 2yb'
_cell_length_a 8.3299
_cell_length_b 5.4521
_cell_length_c 11.2661
_cell_angle_alpha 90.00
_cell_angle_beta 105.37
_cell_angle_gamma 90.00
loop_
_atom_site_label
_atom_site_type_symbol
_atom_site_fract_x
_atom_site_fract_y
_atom_site_fract_z
Co1 Co 0.0000 0.0000 0.0000
Br1 Br 0.1242 0.2500 0.5542
Br2 Br 0.2342 0.2500 0.1048
O1 O 0.0422 0.7500 0.5759
O2 O 0.0572 0.7500 0.1014
O3 O 0.1694 0.7500 0.8471
O4 O 0.2675 0.7500 0.3648
O5 O 0.3234 0.7500 0.8765
O6 O 0.3969 0.7500 0.4491
```

The 10 most intense peaks (10° ≤ 2θ ≤ 90°), in order of falling intensity:
d [Å], 2θ (°), intensity
8.032, 11.02, 100
5.182, 17.11, 55
5.432, 16.32, 55
3.848, 23.11, 44
3.083, 28.97, 42
2.591, 34.62, 22
3.737, 23.81, 21
2.933, 30.48, 15
3.236, 27.57, 15
2.726, 32.85, 14

=====

Diffraction record for CoBr2O12. The powder XRD pattern is computed, not measured: it uses DFT lattice parameters and positions (PBE+U) and a wavelength of 1.5418 Å.
No peak broadening, texture or thermal motion is included.

```
data_CoBr2O12
_chemical_formula_sum 'Co4 Br8 O48'
_space_group_name_H-M_alt 'P a -3'
_space_group_IT_number 205
_space_group_name_Hall '-P 2ac 2ab 3'
_cell_length_a 9.6721
_cell_length_b 9.6721
_cell_length_c 9.6721
_cell_angle_alpha 90.00
_cell_angle_beta 90.00
_cell_angle_gamma 90.00
loop_
_atom_site_label
_atom_site_type_symbol
_atom_site_fract_x
_atom_site_fract_y
_atom_site_fract_z
Co1 Co 0.0000 0.0000 0.0000
Br1 Br 0.2382 0.7382 0.7618
O1 O 0.0320 0.6763 0.4524
O2 O 0.1266 0.1543 0.6878
```

The 10 most intense peaks (10° ≤ 2θ ≤ 90°), in order of falling intensity:
d [Å], 2θ (°), intensity
3.420, 26.06, 100
5.584, 15.87, 38
1.974, 45.97, 28
4.836, 18.35, 23
1.292, 73.23, 20
1.529, 60.54, 17
2.916, 30.66, 17
2.792, 32.06, 16
1.710, 53.60, 14
2.418, 37.18, 14

=====

Diffraction record for CoBrO. The powder XRD pattern is computed, not measured: it uses DFT lattice parameters and positions (PBE+U) and a wavelength of 1.5418 Å.
No peak broadening, texture or thermal motion is included.

```
data_CoBrO
_chemical_formula_sum 'Co8 Br8 O8'
_space_group_name_H-M_alt 'P b c a'
_space_group_IT_number 61
_space_group_name_Hall '-P 2ac 2ab'
_cell_length_a 5.8813
_cell_length_b 12.6765
_cell_length_c 6.3624
_cell_angle_alpha 90.00
_cell_angle_beta 90.00
_cell_angle_gamma 90.00
loop_
_atom_site_label
_atom_site_type_symbol
_atom_site_fract_x
_atom_site_fract_y
_atom_site_fract_z
Co1 Co 0.2076 0.0050 0.1340
Br1 Br 0.0690 0.1421 0.4078
O1 O 0.1113 0.0484 0.8556
```

The 10 most intense peaks (10° ≤ 2θ ≤ 90°), in order of falling intensity:
d [Å], 2θ (°), intensity
6.338, 13.97, 100
3.020, 29.58, 92
2.098, 43.13, 44
2.559, 35.07, 44
2.732, 32.78, 43
4.490, 19.77, 37
2.156, 41.91, 37
1.669, 55.01, 33
2.668, 33.60, 25
2.865, 31.22, 23